Starting from a structure optimized by DFT (GGA-PBE), the PXRD pattern of AcY2Te4 was computed for λ = 1.5418 Å (Cu Kα).

Main lines, by angle (5 to 70 degrees two-theta):
| index | 2θ (°) | Rel. int. |
| --- | --- | --- |
| 0 2 3 | 21.5 | 30 |
| 0 2 4 | 26.7 | 58 |
| 1 1 3 | 27.5 | 32 |
| 1 3 1 | 28.0 | 100 |
| 1 3 2 | 29.8 | 75 |
| 1 1 5 | 36.5 | 53 |
| 1 5 2 | 39.1 | 24 |
| 2 0 0 | 40.6 | 34 |
| 0 6 3 | 41.7 | 36 |
| 2 2 4 | 49.2 | 23 |

Atomic structure:
```
data_AcY2Te4
_cell_length_a 4.444
_cell_length_b 14.401
_cell_length_c 15.106
_cell_angle_alpha 90.00
_cell_angle_beta 90.00
_cell_angle_gamma 90.00
_symmetry_space_group_name_H-M 'C m c m'
_symmetry_Int_Tables_number 63
_symmetry_space_group_name_Hall '-C 2c 2'
loop_
_atom_site_label
_atom_site_fract_x
_atom_site_fract_y
_atom_site_fract_z
Ac1 0.000 0.121 0.250
Y1 0.000 0.370 0.063
Te1 0.000 0.000 0.000
Te2 0.000 0.271 0.619
Te3 0.000 0.449 0.250
```

Starting from a structure optimized by DFT (GGA-PBE), the PXRD pattern of Ac5ZnTe4 was computed for λ = 1.5418 Å (Cu Kα).

Main lines, by angle (5 to 70 degrees two-theta):
| index | 2θ (°) | Rel. int. |
| --- | --- | --- |
| 2 1 1 | 23.1 | 19 |
| 0 0 2 | 26.7 | 100 |
| 1 3 2 | 38.1 | 78 |
| 2 1 3 | 45.0 | 10 |
| 4 2 2 | 47.1 | 28 |
| 2 6 0 | 54.9 | 9 |
| 0 0 4 | 55.0 | 5 |
| 2 6 2 | 62.1 | 23 |
| 1 3 4 | 62.2 | 13 |
| 4 2 4 | 68.8 | 26 |

Atomic structure:
```
data_Ac5ZnTe4
_cell_length_a 10.572
_cell_length_b 10.572
_cell_length_c 6.674
_cell_angle_alpha 90.00
_cell_angle_beta 90.00
_cell_angle_gamma 90.00
_symmetry_space_group_name_H-M 'I 4/m'
_symmetry_Int_Tables_number 87
_symmetry_space_group_name_Hall '-I 4'
loop_
_atom_site_label
_atom_site_fract_x
_atom_site_fract_y
_atom_site_fract_z
Ac1 0.000 0.000 0.000
Ac2 0.098 0.287 0.500
Zn1 0.000 0.000 0.500
Te1 0.094 0.305 0.000
```

Starting from a structure optimized by DFT (GGA-PBE), the PXRD pattern of AcTh4 was computed for λ = 1.5418 Å (Cu Kα).

Main lines, by angle (5 to 70 degrees two-theta):
| index | 2θ (°) | Rel. int. |
| --- | --- | --- |
| 1 0 0 | 14.9 | 20 |
| 1 1 0 | 21.1 | 19 |
| 1 1 1 | 26.0 | 70 |
| 2 0 0 | 30.1 | 100 |
| 2 1 0 | 33.7 | 12 |
| 2 2 0 | 43.0 | 77 |
| 3 1 1 | 50.9 | 35 |
| 2 2 2 | 53.4 | 28 |
| 4 0 0 | 62.5 | 13 |
| 3 3 1 | 68.8 | 14 |

Atomic structure:
```
data_AcTh4
_cell_length_a 5.946
_cell_length_b 5.946
_cell_length_c 5.946
_cell_angle_alpha 90.00
_cell_angle_beta 90.00
_cell_angle_gamma 90.00
_symmetry_space_group_name_H-M 'P m -3 m'
_symmetry_Int_Tables_number 221
_symmetry_space_group_name_Hall '-P 4 2 3'
loop_
_atom_site_label
_atom_site_fract_x
_atom_site_fract_y
_atom_site_fract_z
Ac1 0.000 0.000 0.000
Th1 0.000 0.000 0.500
Th2 0.500 0.500 0.500
```

Starting from a structure optimized by DFT (GGA-PBE), the PXRD pattern of Ac4Th was computed for λ = 1.5418 Å (Cu Kα).

Main lines, by angle (5 to 70 degrees two-theta):
| index | 2θ (°) | Rel. int. |
| --- | --- | --- |
| 1 0 0 | 13.8 | 21 |
| 1 1 0 | 19.6 | 19 |
| 1 1 1 | 24.1 | 68 |
| 2 0 0 | 27.9 | 100 |
| 2 2 0 | 39.9 | 79 |
| 3 1 1 | 47.1 | 35 |
| 2 2 2 | 49.4 | 29 |
| 4 0 0 | 57.6 | 14 |
| 3 3 1 | 63.4 | 15 |
| 4 2 0 | 65.2 | 38 |

Atomic structure:
```
data_Ac4Th
_cell_length_a 6.397
_cell_length_b 6.397
_cell_length_c 6.397
_cell_angle_alpha 90.00
_cell_angle_beta 90.00
_cell_angle_gamma 90.00
_symmetry_space_group_name_H-M 'P m -3 m'
_symmetry_Int_Tables_number 221
_symmetry_space_group_name_Hall '-P 4 2 3'
loop_
_atom_site_label
_atom_site_fract_x
_atom_site_fract_y
_atom_site_fract_z
Ac1 0.000 0.000 0.000
Ac2 0.000 0.500 0.500
Th1 0.500 0.500 0.500
```

Starting from a structure optimized by DFT (GGA-PBE), the PXRD pattern of AcTh2 was computed for λ = 1.5418 Å (Cu Kα).

Main lines, by angle (5 to 70 degrees two-theta):
| index | 2θ (°) | Rel. int. |
| --- | --- | --- |
| 1 0 3 | 29.6 | 100 |
| 0 0 6 | 33.9 | 17 |
| 1 1 0 | 34.5 | 34 |
| 1 0 5 | 37.5 | 1 |
| 1 0 7 | 47.1 | 1 |
| 1 1 6 | 49.2 | 24 |
| 2 0 0 | 49.7 | 13 |
| 1 0 9 | 58.0 | 14 |
| 2 1 3 | 58.9 | 30 |
| 2 0 6 | 61.5 | 13 |

Atomic structure:
```
data_AcTh2
_cell_length_a 3.672
_cell_length_b 3.672
_cell_length_c 15.872
_cell_angle_alpha 90.00
_cell_angle_beta 90.00
_cell_angle_gamma 90.00
_symmetry_space_group_name_H-M 'I 4/m m m'
_symmetry_Int_Tables_number 139
_symmetry_space_group_name_Hall '-I 4 2'
loop_
_atom_site_label
_atom_site_fract_x
_atom_site_fract_y
_atom_site_fract_z
Ac1 0.000 0.000 0.000
Th1 0.000 0.000 0.326
```

Starting from a structure optimized by DFT (GGA-PBE), the PXRD pattern of Ac5ThTl6 was computed for λ = 1.5418 Å (Cu Kα).

Main lines, by angle (5 to 70 degrees two-theta):
| index | 2θ (°) | Rel. int. |
| --- | --- | --- |
| 2 0 -2 | 30.8 | 100 |
| 2 2 1 | 30.9 | 99 |
| 4 2 -1 | 31.0 | 98 |
| 4 0 2 | 43.9 | 19 |
| 8 0 -2 | 44.3 | 19 |
| 0 2 3 | 54.7 | 20 |
| 8 2 1 | 54.8 | 20 |
| 6 2 -3 | 55.0 | 20 |
| 10 2 -1 | 55.1 | 20 |
| 2 4 -2 | 55.2 | 39 |

Atomic structure:
```
data_Ac5ThTl6
_cell_length_a 18.291
_cell_length_b 8.121
_cell_length_c 5.813
_cell_angle_alpha 90.00
_cell_angle_beta 108.07
_cell_angle_gamma 90.00
_symmetry_space_group_name_H-M 'C 1 2/m 1'
_symmetry_Int_Tables_number 12
_symmetry_space_group_name_Hall '-C 2y'
loop_
_atom_site_label
_atom_site_fract_x
_atom_site_fract_y
_atom_site_fract_z
Ac1 0.000 0.000 0.000
Ac2 0.164 0.000 0.665
Ac3 0.171 0.500 0.671
Th1 0.000 0.500 0.000
Tl1 0.000 0.264 0.500
Tl2 0.163 0.258 0.163
```